(1)
For Tb3YCu4, DFT lattice parameters and positions (PBE) gives the theoretical XRD peak list in this record (Cu Kα).
No peak broadening, texture or thermal motion is included.

Atomic structure:
```
data_Tb3YCu4
_chemical_formula_sum 'Tb3 Y1 Cu4'
_cell_length_a 3.470
_cell_length_b 4.936
_cell_length_c 9.871
_cell_angle_alpha 90.00
_cell_angle_beta 90.00
_cell_angle_gamma 90.00
_space_group_name_H-M_alt 'P 1'
_space_group_IT_number 1
loop_
_space_group_symop_operation_xyz
'x,y,z'
loop_
_atom_site_label
_atom_site_fract_x
_atom_site_fract_y
_atom_site_fract_z
Tb1 0.000 0.000 0.000
Tb2 0.000 0.500 0.250
Tb3 0.000 0.500 0.750
Y1 0.000 0.000 0.500
Cu1 0.500 0.000 0.250
Cu2 0.500 0.000 0.750
Cu3 0.500 0.500 0.000
Cu4 0.500 0.500 0.500
```

Main lines, most intense first (5 to 70 degrees two-theta):
2.461 Å, 2θ 36.51, I 100.0
2.468 Å, 2θ 36.40, I 50.4
1.424 Å, 2θ 65.58, I 34.6
1.745 Å, 2θ 52.43, I 17.4
1.419 Å, 2θ 65.79, I 17.1
3.490 Å, 2θ 25.52, I 14.5

=====

(2)
For TbYCu, DFT lattice parameters and positions (PBE) gives the theoretical XRD peak list in this record (Cu Kα).
No peak broadening, texture or thermal motion is included.

Atomic structure:
```
data_TbYCu
_chemical_formula_sum 'Tb4 Y4 Cu4'
_cell_length_a 6.659
_cell_length_b 6.957
_cell_length_c 6.830
_cell_angle_alpha 90.00
_cell_angle_beta 90.05
_cell_angle_gamma 90.00
_space_group_name_H-M_alt 'P 1'
_space_group_IT_number 1
loop_
_space_group_symop_operation_xyz
'x,y,z'
loop_
_atom_site_label
_atom_site_fract_x
_atom_site_fract_y
_atom_site_fract_z
Tb1 0.104 0.093 0.250
Tb2 0.104 0.407 0.750
Tb3 0.896 0.593 0.250
Tb4 0.896 0.907 0.750
Y1 0.436 0.750 0.000
Y2 0.436 0.750 0.500
Y3 0.564 0.250 0.000
Y4 0.564 0.250 0.500
Cu1 0.290 0.039 0.750
Cu2 0.290 0.461 0.250
Cu3 0.710 0.539 0.750
Cu4 0.710 0.961 0.250
```

Main lines, most intense first (5 to 70 degrees two-theta):
2.749 Å, 2θ 32.57, I 100.0
3.039 Å, 2θ 29.39, I 94.2
2.437 Å, 2θ 36.89, I 63.8
2.810 Å, 2θ 31.84, I 63.3
3.003 Å, 2θ 29.75, I 49.7
2.020 Å, 2θ 44.87, I 46.6

=====

(3)
For Tb5ZnCu4, DFT lattice parameters and positions (PBE) gives the theoretical XRD peak list in this record (Cu Kα).
No peak broadening, texture or thermal motion is included.

Atomic structure:
```
data_Tb5ZnCu4
_chemical_formula_sum 'Tb5 Zn1 Cu4'
_cell_length_a 3.500
_cell_length_b 3.500
_cell_length_c 17.562
_cell_angle_alpha 90.00
_cell_angle_beta 90.00
_cell_angle_gamma 90.00
_space_group_name_H-M_alt 'P 1'
_space_group_IT_number 1
loop_
_space_group_symop_operation_xyz
'x,y,z'
loop_
_atom_site_label
_atom_site_fract_x
_atom_site_fract_y
_atom_site_fract_z
Tb1 0.000 0.000 0.000
Tb2 0.000 0.000 0.198
Tb3 0.000 0.000 0.396
Tb4 0.000 0.000 0.604
Tb5 0.000 0.000 0.802
Zn1 0.500 0.500 0.500
Cu1 0.500 0.500 0.098
Cu2 0.500 0.500 0.298
Cu3 0.500 0.500 0.702
Cu4 0.500 0.500 0.902
```

Main lines, most intense first (5 to 70 degrees two-theta):
2.478 Å, 2θ 36.26, I 100.0
1.430 Å, 2θ 65.27, I 23.2
3.504 Å, 2θ 25.42, I 18.4
1.750 Å, 2θ 52.28, I 11.6
1.432 Å, 2θ 65.13, I 11.5
1.756 Å, 2θ 52.08, I 5.7